Structure and simulated powder diffractogram of CsYCr2O8 (DFT lattice parameters and positions (GGA+U); Cu Kα, 1.54184 Å).
Peak positions follow from Bragg's law for the DFT cell and can differ from measured ones.

The 8 most intense peaks (10° ≤ 2θ ≤ 90°), sorted by position:
17.6 deg, d = 5.048 Å, rel. 54, hkl 1 0 0
20.5 deg, d = 4.336 Å, rel. 62, hkl 1 0 1
27.5 deg, d = 3.244 Å, rel. 100, hkl 0 1 2
30.7 deg, d = 2.915 Å, rel. 60, hkl 1 1 0
37.5 deg, d = 2.401 Å, rel. 14, hkl 2 -1 2
41.7 deg, d = 2.168 Å, rel. 40, hkl 0 2 2
52.6 deg, d = 1.740 Å, rel. 30, hkl 3 -2 2
53.5 deg, d = 1.713 Å, rel. 22, hkl 1 1 4

Cell and atoms:
a b c (Å): 5.8295 5.8295 8.4681
angles (deg): 90.00 90.00 120.00
Space group P-3 (No. 147)
Asymmetric unit:
Cs 0.0000 0.0000 0.0000 (multiplicity 1)
Y 0.0000 0.0000 0.5000 (multiplicity 1)
Cr 0.3333 0.6667 0.7283 (multiplicity 2)
O 0.1742 0.3524 0.6639 (multiplicity 6)
O 0.3333 0.6667 0.9201 (multiplicity 2)